This entry pairs a crystal structure of LaPm2Ru with its computed X-ray powder pattern. Radiation: Cu Ka. Structure: the PBE geometry in Alexandria.
Kinematic intensities with the Lorentz-polarization factor, no thermal factor.

The 6 most intense peaks (2θ from 5° to 70°), by angle:
| two_theta | d (Å) | I_rel |
| --- | --- | --- |
| 30.00 | 2.979 | 45.1 |
| 31.24 | 2.863 | 100.0 |
| 32.62 | 2.745 | 61.2 |
| 36.61 | 2.455 | 36.0 |
| 45.75 | 1.983 | 20.1 |
| 56.44 | 1.630 | 25.3 |

Cell: 3.966 12.403 9.687 Å, 90.00 90.00 90.00°
Atoms (fractional coordinates):
La  0.000  0.085  0.250
La  0.000  0.915  0.750
La  0.500  0.415  0.750
La  0.500  0.585  0.250
Pm  0.000  0.355  0.072
Pm  0.000  0.355  0.428
Pm  0.000  0.645  0.572
Pm  0.000  0.645  0.928
Pm  0.500  0.145  0.572
Pm  0.500  0.145  0.928
Pm  0.500  0.855  0.072
Pm  0.500  0.855  0.428
Ru  0.000  0.258  0.750
Ru  0.000  0.742  0.250
Ru  0.500  0.242  0.250
Ru  0.500  0.758  0.750